# 1
The following is a simulated X-ray diffraction stick pattern of Li3HgGe2. It was derived from a DFT-relaxed cell (GGA-PBE, Alexandria), using Cu Kα X-rays.

Cell and atoms:
```
12
Lattice="3.893 0.000 0.000 0.000 8.548 0.000 0.000 0.000 6.782" Properties=species:S:1:pos:R:3 pbc="T T T"
Li 0.000 0.875 0.000
Li 0.000 7.673 3.391
Li 1.946 1.998 2.309
Li 1.946 3.062 5.826
Li 1.946 5.486 2.435
Li 1.946 6.550 5.700
Hg 0.000 3.646 1.030
Hg 0.000 4.902 4.421
Ge 0.000 2.007 4.241
Ge 0.000 6.541 0.850
Ge 1.946 0.458 4.710
Ge 1.946 8.090 1.319
```

Main lines, low angle first (2θ from 15° to 90°):
d [Å]	2θ/deg	intensity
3.893	22.84	38.9
3.616	24.62	79.8
3.543	25.14	91.9
3.391	26.28	79.1
2.450	36.68	72.7
2.178	41.47	100.0

# 2
The following is a simulated X-ray diffraction stick pattern of NdMg2SiN4. It was derived from a DFT-relaxed cell (GGA-PBE, Alexandria), using Cu Kα X-rays.

Cell and atoms:
```
16
Lattice="5.394 0.000 0.000 0.000 5.394 0.000 0.000 0.000 6.927" Properties=species:S:1:pos:R:3 pbc="T T T"
Nd 0.000 0.000 0.000
Nd 2.697 2.697 3.464
Mg 0.000 2.697 1.732
Mg 0.000 2.697 5.195
Mg 2.697 0.000 1.732
Mg 2.697 0.000 5.195
Si 0.000 0.000 3.464
Si 2.697 2.697 0.000
N 1.057 1.057 2.525
N 1.057 4.338 4.402
N 1.641 1.641 5.988
N 1.641 3.754 0.939
N 3.754 1.641 0.939
N 3.754 3.754 5.988
N 4.338 1.057 4.402
N 4.338 4.338 2.525
```

Main lines, low angle first (2θ from 15° to 90°):
d [Å]	2θ/deg	intensity
4.256	20.87	70.9
3.814	23.32	44.8
2.697	33.22	36.3
2.564	34.99	100.0
2.278	39.56	43.9
1.530	60.50	39.4

# 3
The following is a simulated X-ray diffraction stick pattern of Tb4AlIn3. It was derived from a DFT-relaxed cell (GGA-PBE, Alexandria), using Cu Kα X-rays.

Cell and atoms:
```
8
Lattice="3.698 0.000 0.000 0.000 3.698 0.000 0.000 0.000 15.277" Properties=species:S:1:pos:R:3 pbc="T T T"
Tb 0.000 0.000 1.772
Tb 0.000 0.000 5.666
Tb 0.000 0.000 9.611
Tb 0.000 0.000 13.506
Al 1.849 1.849 0.000
In 1.849 1.849 3.722
In 1.849 1.849 7.639
In 1.849 1.849 11.555
```

Main lines, low angle first (2θ from 15° to 90°):
d [Å]	2θ/deg	intensity
2.657	33.74	100.0
2.615	34.30	49.1
1.849	49.29	17.5
1.542	59.99	17.8
1.518	61.06	35.6
1.328	70.95	10.5

# 4
The following is a simulated X-ray diffraction stick pattern of Pr2Ho2Er7. It was derived from a DFT-relaxed cell (GGA-PBE, Alexandria), using Cu Kα X-rays.

Cell and atoms:
```
11
Lattice="5.615 -5.716 0.000 5.615 5.716 0.000 -2.414 0.000 5.529" Properties=species:S:1:pos:R:3 pbc="T T T"
Pr 2.383 0.000 0.505
Pr 6.434 0.000 5.024
Ho 5.615 3.217 0.000
Ho 5.615 -3.217 0.000
Er -1.207 0.000 2.764
Er 2.884 3.022 1.808
Er 5.932 3.022 3.720
Er 2.930 0.000 3.861
Er 5.886 0.000 1.667
Er 2.884 -3.022 1.808
Er 5.932 -3.022 3.720
```

Main lines, low angle first (2θ from 15° to 90°):
d [Å]	2θ/deg	intensity
2.889	30.96	27.9
2.858	31.30	48.9
2.800	31.96	28.4
2.782	32.18	100.0
2.645	33.90	38.5
2.632	34.06	29.2